Starting from a DFT-relaxed cell (GGA+U, the Materials Project), the X-ray diffraction stick pattern of CsEuW2O8 was calculated for Cu Kα (weighted mean of Kα1 and Kα2).

```
data_CsEuW2O8
_chemical_formula_sum 'Cs4 Eu4 W8 O32'
_cell_length_a 11.002
_cell_length_b 11.027
_cell_length_c 7.636
_cell_angle_alpha 90.00
_cell_angle_beta 129.80
_cell_angle_gamma 90.00
_space_group_name_H-M_alt 'C 1 2/c 1'
_space_group_IT_number 15
_space_group_name_Hall '-C 2yc'
loop_
_atom_site_label
_atom_site_type_symbol
_atom_site_fract_x
_atom_site_fract_y
_atom_site_fract_z
Cs1 Cs 0.000 0.198 0.250
Eu1 Eu 0.000 0.226 0.750
W1 W 0.191 0.495 0.722
O1 O 0.022 0.395 0.970
O2 O 0.136 0.079 0.698
O3 O 0.185 0.436 0.438
O4 O 0.227 0.154 0.133
```

Largest 10 diffraction maxima, by angle, 2θ = 10–90°:
26.4 deg, I = 327, hkl 1 3 0; 26.6 deg, I = 953, hkl 2 2 0; 27.6 deg, I = 303, hkl 3 1 -2; 28.5 deg, I = 1000, hkl 2 2 -2; 30.5 deg, I = 450, hkl 0 0 2; 32.5 deg, I = 216, hkl 0 4 0; 32.8 deg, I = 437, hkl 4 0 -2; 45.1 deg, I = 226, hkl 0 4 2; 45.9 deg, I = 206, hkl 1 3 2; 54.0 deg, I = 212, hkl 2 2 -4